Theoretical powder XRD pattern
Compound: Li4Mn3Cr2O10
Radiation: Cu Kα (λ = 1.5418 Å)
Structure: a DFT-relaxed cell (PBE+U, Alexandria)

Principal peaks in the range 10° ≤ 2θ ≤ 90°, in order of rising 2θ:
index, 2theta, d [Å], Rel. int.
0 0 1, 12.46, 7.104, 75
0 1 -1, 18.14, 4.890, 100
1 0 0, 18.37, 4.830, 35
1 -1 0, 22.24, 3.998, 22
1 0 -2, 26.70, 3.339, 21
-1 2 1, 42.08, 2.147, 61
1 -1 3, 42.83, 2.112, 58
2 1 -2, 43.82, 2.066, 57
1 3 -1, 62.09, 1.495, 33
3 0 1, 62.64, 1.483, 30

Atomic structure:
```
data_Li4Mn3Cr2O10
_chemical_formula_sum 'Li4 Mn3 Cr2 O10'
_space_group_name_H-M_alt 'P 1'
_space_group_IT_number 1
_cell_length_a 5.1276
_cell_length_b 5.2462
_cell_length_c 7.7964
_cell_angle_alpha 108.46
_cell_angle_beta 101.33
_cell_angle_gamma 101.31
loop_
_space_group_symop_operation_xyz
'x,y,z'
loop_
_atom_site_label
_atom_site_fract_x
_atom_site_fract_y
_atom_site_fract_z
Li1 0.0000 0.0000 0.0000
Li2 0.1060 0.2411 0.7234
Li3 0.2973 0.5851 0.0801
Li4 0.7290 0.4804 0.9435
Mn1 0.1890 0.3987 0.3819
Mn2 0.4954 0.0116 0.4847
Mn3 0.7988 0.6207 0.5894
Cr1 0.3919 0.8144 0.7927
Cr2 0.6010 0.2065 0.1776
O1 0.0306 0.6272 0.8204
O2 0.1731 0.7827 0.5306
O3 0.2721 0.0496 0.2622
O4 0.3727 0.1972 0.9381
O5 0.4136 0.4173 0.6247
O6 0.5289 0.5786 0.3431
O7 0.6131 0.8297 0.0296
O8 0.7275 0.9770 0.7066
O9 0.8365 0.2504 0.4416
O10 0.9665 0.3805 0.1518
```